# Sr2MgNiIrO6
Calculated powder diffraction line list, Cu Kα. Input: a DFT-relaxed cell (PBE+U, the Materials Project).
Lines closer than 0.1° are merged.

Top 10 peaks for 2θ from 10° to 90°, low angle first:
17.32°, I = 73; 17.83°, I = 61; 27.67°, I = 94; 27.79°, I = 100; 30.59°, I = 44; 30.78°, I = 96; 31.89°, I = 97; 33.11°, I = 98; 34.68°, I = 70; 47.86°, I = 48

Atomic structure:
Unit cell a=5.2537 b=5.4158 c=5.9627 alpha=115.03 beta=106.13 gamma=91.61
Space group P-1 (No. 2)
One atom of each set of equivalent atoms:
Sr1 0.1972 0.2057 0.3978 x2
Mg1 0.5000 0.5000 0.0000 x1
Ni1 0.5000 0.0000 0.0000 x1
Ir1 0.0000 0.5000 0.0000 x1
O1 0.2004 0.1751 0.8641 x2
O2 0.2085 0.6520 0.8254 x2
O3 0.3229 0.6696 0.3136 x2